Pr4Te5Se2: calculated powder XRD pattern (Cu Kα), based on DFT lattice parameters and positions (PBE).

Principal peaks in the range 5° ≤ 2θ ≤ 70°, low angle first:
2θ/deg  d/Å  I (rel.)  h k l
17.42  5.092  29.0  4 0 0
24.49  3.635  29.5  3 1 -1
26.25  3.395  46.8  6 0 0
29.47  3.030  100.0  1 1 -2
29.61  3.017  93.4  3 1 -2
32.30  2.772  28.3  6 0 1
33.42  2.681  28.7  4 0 2
34.13  2.627  36.0  8 0 -2
36.47  2.463  70.7  3 1 2
37.04  2.427  94.2  7 1 0
41.06  2.198  52.7  0 2 0
42.52  2.126  53.2  4 0 -4

Atomic structure:
Unit cell a=21.9130 b=4.3969 c=8.5115 alpha=90.00 beta=111.64 gamma=90.00
Space group C2/m (No. 12)
Symmetry-distinct sites (fractional):
Pr 0.0069 0.0000 0.2422 (multiplicity 4)
Pr 0.2177 0.5000 0.2218 (multiplicity 4)
Te 0.0000 0.5000 0.5000 (multiplicity 2)
Te 0.1636 0.0000 0.4157 (multiplicity 4)
Te 0.1641 0.0000 0.9176 (multiplicity 4)
Se 0.0585 0.5000 0.0001 (multiplicity 4)

=====

ZrZn8Ni4: calculated powder XRD pattern (Cu Kα), based on DFT lattice parameters and positions (PBE).

Principal peaks in the range 5° ≤ 2θ ≤ 70°, low angle first:
2θ/deg  d/Å  I (rel.)  h k l
33.47  2.677  7.4  3 1 0
35.71  2.514  22.5  0 0 2
36.51  2.461  52.3  3 0 1
41.78  2.162  69.8  2 0 2
42.49  2.128  100.0  3 2 1
42.72  2.116  69.4  4 0 0
47.21  1.925  75.0  2 2 2
47.85  1.901  18.2  4 1 1
48.06  1.893  28.4  4 2 0
62.01  1.497  7.0  4 4 0
64.68  1.441  9.1  3 0 3
68.81  1.364  22.1  3 2 3

Atomic structure:
Unit cell a=8.4657 b=8.4657 c=5.0290 alpha=90.00 beta=90.00 gamma=90.00
Space group I4/mmm (No. 139)
Symmetry-distinct sites (fractional):
Zr 0.0000 0.0000 0.0000 (multiplicity 2)
Zn 0.0000 0.2173 0.5000 (multiplicity 8)
Zn 0.0000 0.3388 0.0000 (multiplicity 8)
Ni 0.2500 0.2500 0.2500 (multiplicity 8)

=====

NaInGaBr3: calculated powder XRD pattern (Cu Kα), based on DFT lattice parameters and positions (PBE).

Principal peaks in the range 5° ≤ 2θ ≤ 70°, low angle first:
2θ/deg  d/Å  I (rel.)  h k l
26.82  3.324  100.0  1 3 1
27.51  3.242  57.1  2 2 0
28.24  3.161  54.3  0 2 2
29.76  3.003  94.6  2 0 -2
34.10  2.629  33.4  2 4 0
34.56  2.595  51.0  0 6 0
34.70  2.586  32.0  0 4 2
39.96  2.256  31.0  3 3 -1
41.00  2.201  30.4  1 3 -3
41.75  2.164  37.2  2 0 2
46.24  1.963  43.7  2 6 -2
55.26  1.662  34.2  2 6 2

Atomic structure:
Unit cell a=7.5182 b=15.5720 c=7.2916 alpha=90.00 beta=108.45 gamma=90.00
Space group C2/c (No. 15)
Symmetry-distinct sites (fractional):
Na 0.0000 0.0614 0.2500 (multiplicity 4)
In 0.0000 0.2395 0.7500 (multiplicity 4)
Ga 0.0000 0.4352 0.2500 (multiplicity 4)
Br 0.0000 0.2463 0.2500 (multiplicity 4)
Br 0.2338 0.0727 0.9951 (multiplicity 8)